For PuInBr4, a DFT-relaxed cell (PBE, Alexandria) gives the theoretical powder diffraction line list in this record (copper Kα).

Most intense lines, 2θ from 10° to 80°, by intensity:
2θ/deg	d_spacing	I/Imax
17.8	4.996	100
34.0	2.634	98
42.8	2.112	53
22.5	3.953	45
25.8	3.450	42
12.8	6.899	37

Cell and atoms:
Lattice parameters (Å, degrees): 8.5242 8.5242 8.5242 108.24 108.24 111.96
Fractional coordinates of all 12 atoms:
Pu (0.0000, 0.0000, 0.0000)
Pu (0.7500, 0.2500, 0.5000)
In (0.2703, 0.7703, 0.5000)
In (0.5203, 0.5203, 0.0000)
Br (0.0216, 0.2250, 0.7966)
Br (0.4284, 0.2250, 0.2034)
Br (0.5308, 0.2187, 0.6879)
Br (0.5308, 0.8428, 0.3121)
Br (0.5928, 0.7808, 0.8121)
Br (0.9687, 0.7808, 0.1879)
Br (0.9750, 0.2716, 0.2966)
Br (0.9750, 0.6784, 0.7034)